Diffraction record for ZrCd11. The XRD peak list is simulated, not measured: it uses DFT lattice parameters and positions (GGA-PBE) and copper Kα.
Kinematic intensities with the Lorentz-polarization factor, no thermal factor.

Structure:
Cell lengths 10.210, 10.210, 2.973 Å; angles 90.00, 90.00, 120.00 degrees
Fractional positions:
1 Zr 0.000 0.000 0.000
2 Cd 0.000 0.500 0.000
3 Cd 0.168 0.336 0.500
4 Cd 0.168 0.832 0.500
5 Cd 0.333 0.667 0.000
6 Cd 0.336 0.168 0.500
7 Cd 0.500 0.000 0.000
8 Cd 0.500 0.500 0.000
9 Cd 0.664 0.832 0.500
10 Cd 0.667 0.333 0.000
11 Cd 0.832 0.168 0.500
12 Cd 0.832 0.664 0.500

Peak list (10 most intense, 10° ≤ 2θ ≤ 80°, low angle first)
2θ 34.92, I 21
2θ 35.16, I 100
2θ 36.42, I 44
2θ 40.62, I 10
2θ 43.22, I 12
2θ 51.52, I 16
2θ 63.08, I 17
2θ 63.91, I 16
2θ 73.76, I 21
2θ 74.32, I 10

Diffraction record for ZrCd. The XRD peak list is simulated, not measured: it uses DFT lattice parameters and positions (GGA-PBE) and copper Kα.
Kinematic intensities with the Lorentz-polarization factor, no thermal factor.

Structure:
Cell lengths 3.065, 3.065, 5.387 Å; angles 90.00, 90.00, 120.00 degrees
Fractional positions:
1 Zr 0.000 0.000 0.000
2 Cd 0.667 0.333 0.500

Peak list (10 most intense, 10° ≤ 2θ ≤ 80°, low angle first)
2θ 33.26, I 32
2θ 33.77, I 23
2θ 37.78, I 100
2θ 48.13, I 17
2θ 60.40, I 16
2θ 62.44, I 22
2θ 69.84, I 3
2θ 70.73, I 20
2θ 73.49, I 13
2θ 79.87, I 4

Diffraction record for ZrCd7. The XRD peak list is simulated, not measured: it uses DFT lattice parameters and positions (GGA-PBE) and copper Kα.
Kinematic intensities with the Lorentz-polarization factor, no thermal factor.

Structure:
Cell lengths 6.327, 6.327, 6.327 Å; angles 60.00, 60.00, 60.00 degrees
Fractional positions:
1 Zr 0.000 0.000 0.000
2 Cd 0.000 0.000 0.500
3 Cd 0.000 0.500 0.000
4 Cd 0.000 0.500 0.500
5 Cd 0.500 0.000 0.000
6 Cd 0.500 0.000 0.500
7 Cd 0.500 0.500 0.000
8 Cd 0.500 0.500 0.500

Peak list (5 most intense, 10° ≤ 2θ ≤ 80°, low angle first)
2θ 34.73, I 100
2θ 40.32, I 49
2θ 58.34, I 32
2θ 69.71, I 36
2θ 73.30, I 10

Diffraction record for CeCl4. The XRD peak list is simulated, not measured: it uses DFT lattice parameters and positions (GGA-PBE) and copper Kα.
Kinematic intensities with the Lorentz-polarization factor, no thermal factor.

Structure:
Cell lengths 6.387, 4.235, 6.421 Å; angles 90.00, 92.45, 90.00 degrees
Fractional positions:
1 Ce 0.000 0.000 0.000
2 Cl 0.197 0.500 0.195
3 Cl 0.271 0.000 0.728
4 Cl 0.729 0.000 0.272
5 Cl 0.803 0.500 0.805

Peak list (10 most intense, 10° ≤ 2θ ≤ 80°, low angle first)
2θ 13.84, I 100
2θ 19.19, I 20
2θ 20.04, I 22
2θ 20.98, I 16
2θ 25.22, I 22
2θ 29.17, I 52
2θ 30.65, I 12
2θ 37.48, I 15
2θ 38.41, I 24
2θ 47.63, I 14

Diffraction record for Ce2Cl3. The XRD peak list is simulated, not measured: it uses DFT lattice parameters and positions (GGA-PBE) and copper Kα.
Kinematic intensities with the Lorentz-polarization factor, no thermal factor.

Structure:
Cell lengths 7.280, 7.013, 9.160 Å; angles 51.43, 48.87, 79.70 degrees
Fractional positions:
1 Ce 0.300 0.700 0.405
2 Ce 0.655 0.845 0.550
3 Ce 0.700 0.300 0.595
4 Ce 0.845 0.655 0.950
5 Cl 0.074 0.074 0.426
6 Cl 0.217 0.399 0.867
7 Cl 0.383 0.733 0.033
8 Cl 0.399 0.217 0.517
9 Cl 0.733 0.383 0.851
10 Cl 0.824 0.824 0.176

Peak list (10 most intense, 10° ≤ 2θ ≤ 80°, low angle first)
2θ 17.59, I 100
2θ 25.97, I 76
2θ 30.47, I 26
2θ 31.33, I 72
2θ 32.58, I 24
2θ 32.87, I 93
2θ 35.61, I 53
2θ 39.18, I 47
2θ 42.99, I 71
2θ 50.34, I 22

Diffraction record for CeNdCoCl. The XRD peak list is simulated, not measured: it uses DFT lattice parameters and positions (GGA-PBE) and copper Kα.
Kinematic intensities with the Lorentz-polarization factor, no thermal factor.

Structure:
Cell lengths 7.915, 7.915, 7.915 Å; angles 28.47, 28.47, 28.47 degrees
Fractional positions:
1 Ce 0.000 0.000 0.000
2 Nd 0.201 0.201 0.201
3 Co 0.610 0.610 0.610
4 Cl 0.435 0.435 0.435

Peak list (10 most intense, 10° ≤ 2θ ≤ 80°, low angle first)
2θ 11.66, I 38
2θ 26.73, I 30
2θ 27.59, I 21
2θ 30.83, I 35
2θ 33.06, I 100
2θ 46.66, I 41
2θ 48.24, I 34
2θ 58.37, I 19
2θ 59.97, I 13
2θ 77.84, I 16

Diffraction record for RbCeCo2Cl8. The XRD peak list is simulated, not measured: it uses DFT lattice parameters and positions (GGA-PBE) and copper Kα.
Kinematic intensities with the Lorentz-polarization factor, no thermal factor.

Structure:
Cell lengths 10.529, 10.529, 10.529 Å; angles 36.12, 36.12, 36.12 degrees
Fractional positions:
1 Rb 0.000 0.000 0.000
2 Ce 0.500 0.500 0.500
3 Co 0.248 0.248 0.248
4 Co 0.752 0.752 0.752
5 Cl 0.104 0.445 0.784
6 Cl 0.216 0.896 0.555
7 Cl 0.322 0.322 0.322
8 Cl 0.445 0.784 0.104
9 Cl 0.555 0.216 0.896
10 Cl 0.678 0.678 0.678
11 Cl 0.784 0.104 0.445
12 Cl 0.896 0.555 0.216

Peak list (10 most intense, 10° ≤ 2θ ≤ 80°, low angle first)
2θ 19.79, I 100
2θ 27.32, I 41
2θ 28.87, I 53
2θ 32.94, I 38
2θ 33.96, I 26
2θ 44.12, I 24
2θ 46.24, I 43
2θ 48.29, I 32
2θ 49.28, I 15
2θ 69.08, I 13

Diffraction record for CsCe3Cl10. The XRD peak list is simulated, not measured: it uses DFT lattice parameters and positions (GGA-PBE) and copper Kα.
Kinematic intensities with the Lorentz-polarization factor, no thermal factor.

Structure:
Cell lengths 10.383, 10.383, 10.383 Å; angles 60.00, 60.00, 60.00 degrees
Fractional positions:
1 Cs 0.250 0.250 0.250
2 Cs 0.750 0.750 0.750
3 Ce 0.240 0.240 0.760
4 Ce 0.240 0.760 0.240
5 Ce 0.240 0.760 0.760
6 Ce 0.760 0.240 0.240
7 Ce 0.760 0.240 0.760
8 Ce 0.760 0.760 0.240
9 Cl 0.114 0.114 0.114
10 Cl 0.114 0.114 0.659
11 Cl 0.114 0.659 0.114
12 Cl 0.165 0.500 0.500
13 Cl 0.165 0.500 0.835
14 Cl 0.165 0.835 0.500
15 Cl 0.341 0.886 0.886
16 Cl 0.500 0.165 0.500
17 Cl 0.500 0.165 0.835
18 Cl 0.500 0.500 0.165
19 Cl 0.500 0.500 0.835
20 Cl 0.500 0.835 0.165
21 Cl 0.500 0.835 0.500
22 Cl 0.659 0.114 0.114
23 Cl 0.835 0.165 0.500
24 Cl 0.835 0.500 0.165
25 Cl 0.835 0.500 0.500
26 Cl 0.886 0.341 0.886
27 Cl 0.886 0.886 0.341
28 Cl 0.886 0.886 0.886

Peak list (10 most intense, 10° ≤ 2θ ≤ 80°, low angle first)
2θ 20.96, I 100
2θ 24.25, I 36
2θ 31.66, I 18
2θ 34.56, I 68
2θ 40.76, I 78
2θ 42.66, I 14
2θ 54.48, I 26
2θ 61.92, I 29
2θ 66.14, I 14
2θ 76.81, I 22

Diffraction record for Cs2CeCl4. The XRD peak list is simulated, not measured: it uses DFT lattice parameters and positions (GGA-PBE) and copper Kα.
Kinematic intensities with the Lorentz-polarization factor, no thermal factor.

Structure:
Cell lengths 9.623, 9.623, 9.623 Å; angles 145.92, 145.92, 48.97 degrees
Fractional positions:
1 Cs 0.140 0.140 0.000
2 Cs 0.860 0.860 0.000
3 Ce 0.500 0.500 0.000
4 Cl 0.000 0.500 0.500
5 Cl 0.337 0.337 0.000
6 Cl 0.500 0.000 0.500
7 Cl 0.663 0.663 0.000

Peak list (10 most intense, 10° ≤ 2θ ≤ 80°, low angle first)
2θ 10.10, I 29
2θ 21.91, I 100
2θ 22.29, I 90
2θ 30.03, I 32
2θ 30.31, I 25
2θ 30.63, I 23
2θ 31.73, I 68
2θ 38.89, I 47
2θ 44.68, I 31
2θ 45.48, I 24

Diffraction record for CsCeMn2Cl8. The XRD peak list is simulated, not measured: it uses DFT lattice parameters and positions (GGA-PBE) and copper Kα.
Kinematic intensities with the Lorentz-polarization factor, no thermal factor.

Structure:
Cell lengths 10.838, 10.838, 10.838 Å; angles 35.98, 35.98, 35.98 degrees
Fractional positions:
1 Cs 0.000 0.000 0.000
2 Ce 0.500 0.500 0.500
3 Mn 0.248 0.248 0.248
4 Mn 0.752 0.752 0.752
5 Cl 0.112 0.443 0.783
6 Cl 0.217 0.888 0.557
7 Cl 0.322 0.322 0.322
8 Cl 0.443 0.783 0.112
9 Cl 0.557 0.217 0.888
10 Cl 0.678 0.678 0.678
11 Cl 0.783 0.112 0.443
12 Cl 0.888 0.557 0.217

Peak list (10 most intense, 10° ≤ 2θ ≤ 80°, low angle first)
2θ 19.26, I 100
2θ 26.63, I 41
2θ 28.09, I 55
2θ 32.05, I 43
2θ 33.08, I 27
2θ 42.96, I 25
2θ 44.89, I 42
2θ 47.02, I 30
2θ 47.93, I 14
2θ 58.06, I 14

Diffraction record for CsCeScCl6. The XRD peak list is simulated, not measured: it uses DFT lattice parameters and positions (GGA-PBE) and copper Kα.
Kinematic intensities with the Lorentz-polarization factor, no thermal factor.

Structure:
Cell lengths 9.830, 9.830, 9.830 Å; angles 120.49, 118.29, 91.07 degrees
Fractional positions:
1 Cs 0.286 0.036 0.250
2 Cs 0.714 0.964 0.750
3 Ce 0.000 0.500 0.500
4 Ce 0.500 0.500 0.000
5 Sc 0.000 0.000 0.500
6 Sc 0.000 0.500 0.000
7 Cl 0.029 0.779 0.250
8 Cl 0.049 0.388 0.202
9 Cl 0.049 0.847 0.661
10 Cl 0.314 0.153 0.702
11 Cl 0.314 0.612 0.161
12 Cl 0.342 0.592 0.750
13 Cl 0.658 0.408 0.250
14 Cl 0.686 0.388 0.839
15 Cl 0.686 0.847 0.298
16 Cl 0.951 0.153 0.339
17 Cl 0.951 0.612 0.798
18 Cl 0.971 0.221 0.750

Peak list (10 most intense, 10° ≤ 2θ ≤ 80°, low angle first)
2θ 10.87, I 23
2θ 12.86, I 48
2θ 20.85, I 100
2θ 21.25, I 32
2θ 22.33, I 49
2θ 27.83, I 38
2θ 31.81, I 27
2θ 33.03, I 23
2θ 36.85, I 24
2θ 38.35, I 41

Diffraction record for LiCeCu2Cl8. The XRD peak list is simulated, not measured: it uses DFT lattice parameters and positions (GGA-PBE) and copper Kα.
Kinematic intensities with the Lorentz-polarization factor, no thermal factor.

Structure:
Cell lengths 6.507, 6.618, 7.732 Å; angles 91.50, 102.25, 97.84 degrees
Fractional positions:
1 Li 0.000 0.000 0.000
2 Ce 0.000 0.000 0.500
3 Cu 0.383 0.537 0.820
4 Cu 0.617 0.463 0.180
5 Cl 0.210 0.883 0.273
6 Cl 0.232 0.852 0.786
7 Cl 0.255 0.360 0.556
8 Cl 0.274 0.368 0.045
9 Cl 0.726 0.632 0.955
10 Cl 0.745 0.640 0.444
11 Cl 0.768 0.148 0.214
12 Cl 0.790 0.117 0.727

Peak list (10 most intense, 10° ≤ 2θ ≤ 80°, low angle first)
2θ 16.26, I 100
2θ 17.43, I 28
2θ 18.08, I 67
2θ 18.45, I 50
2θ 20.96, I 61
2θ 22.85, I 30
2θ 27.95, I 27
2θ 33.14, I 26
2θ 45.35, I 28
2θ 46.91, I 24